This entry pairs a crystal structure of AgAuCS2 with its simulated powder XRD pattern. Radiation: Cu Kα. Structure: a crystal structure in Alexandria, relaxed with PBE.

Structural model:
```
AgAuCS2
1.0
4.2511 0.0000 0.0000
-0.0472 5.3243 0.0000
-2.0394 -2.2609 5.0820
Ag Au C S
1 1 1 2
Cartesian
0.0000 0.0000 0.0000
2.1013 2.4972 2.2355
2.1318 0.5480 2.7917
2.1169 -0.6001 1.5221
2.1739 0.2170 4.4289
```

Peak list (8 most intense, 2θ from 15° to 90°, sorted by position)
2θ 19.5, intensity 62
2θ 22.6, intensity 94
2θ 22.8, intensity 100
2θ 26.7, intensity 50
2θ 27.0, intensity 48
2θ 30.2, intensity 67
2θ 33.6, intensity 45
2θ 33.8, intensity 58